(1)
For Mg6ZnGa5, the GGA-PBE geometry in Alexandria gives the calculated powder diffraction line list in this record (Cu Kα X-rays).

Largest 12 diffraction maxima, by angle, 10° ≤ 2θ ≤ 90°:
hkl	two_theta	intensity
0 0 2	22.24	21
1 3 0	28.94	22
1 3 2	36.80	100
2 0 0	41.16	18
0 6 0	41.63	18
0 0 4	45.37	14
2 6 0	59.98	11
2 0 4	62.91	10
3 3 2	72.15	13
1 9 2	72.80	12
1 3 6	78.13	10
2 6 4	78.30	10

Structural model:
abc: 4.386 13.018 7.995
angles: 90.00 90.00 90.00
Space group Cmmm (No. 65)
One atom of each set of equivalent atoms:
Mg  0.000  0.000  0.247 (multiplicity 4)
Mg  0.000  0.333  0.245 (multiplicity 8)
Zn  0.000  0.500  0.000 (multiplicity 2)
Ga  0.000  0.165  0.000 (multiplicity 4)
Ga  0.000  0.169  0.500 (multiplicity 4)
Ga  0.000  0.500  0.500 (multiplicity 2)

***

(2)
For MgZn3Ga3, the GGA-PBE geometry in Alexandria gives the calculated powder diffraction line list in this record (Cu Kα X-rays).

Largest 12 diffraction maxima, by angle, 10° ≤ 2θ ≤ 90°:
hkl	two_theta	intensity
1 0 1	16.65	65
3 0 -2	25.56	32
1 1 0	28.38	43
2 1 0	33.09	64
3 0 -4	35.08	34
3 1 -2	37.26	63
1 1 3	44.60	100
4 0 -5	45.05	65
4 1 -4	47.92	27
0 2 0	54.90	19
5 1 1	62.58	21
4 2 -5	73.65	28

Structural model:
abc: 10.648 3.345 10.648
angles: 90.00 119.99 90.00
Space group P2_1/m (No. 11)
One atom of each set of equivalent atoms:
Mg  0.167  0.250  0.334 (multiplicity 2)
Zn  0.087  0.250  0.859 (multiplicity 2)
Zn  0.228  0.750  0.588 (multiplicity 2)
Zn  0.359  0.750  0.272 (multiplicity 2)
Ga  0.069  0.250  0.620 (multiplicity 2)
Ga  0.120  0.750  0.052 (multiplicity 2)
Ga  0.449  0.750  0.569 (multiplicity 2)